The following is a calculated powder diffractogram of LiVSiCO7. It was derived from a DFT-relaxed cell (GGA+U, the Materials Project), using Cu Ka.
Intensities are scaled so that the largest is 100.

Crystal structure
Unit cell a=5.2940 b=6.3732 c=8.1673 alpha=90.00 beta=96.12 gamma=90.00
Space group P2_1/m (No. 11)
Asymmetric unit:
Li (0.2379, 0.2500, 0.0973) x2
V (0.2054, 0.7500, 0.3201) x2
Si (0.2571, 0.2500, 0.4281) x2
C (0.3137, 0.7500, 0.0344) x2
O (0.0745, 0.7500, 0.0753) x2
O (0.0823, 0.2500, 0.5812) x2
O (0.2055, 0.0487, 0.3059) x4
O (0.3766, 0.7500, 0.8922) x2
O (0.4436, 0.7500, 0.4907) x2
O (0.4767, 0.7500, 0.1680) x2

Main lines, low angle first (10° ≤ 2θ ≤ 90°):
Position (°2θ)	Rel. int.
10.9	60
17.7	53
19.1	63
21.1	92
21.9	20
25.3	28
26.3	35
28.0	100
34.7	16
41.6	15

The following is a calculated powder diffractogram of TbMnO3. It was derived from a DFT-relaxed cell (GGA+U, the Materials Project), using Cu Ka.
Intensities are scaled so that the largest is 100.

Crystal structure
Unit cell a=5.8875 b=7.5129 c=5.3368 alpha=90.00 beta=90.00 gamma=90.00
Space group Pnma (No. 62)
Asymmetric unit:
Tb (0.0821, 0.2500, 0.0188) x4
Mn (0.0000, 0.0000, 0.5000) x4
O (0.0403, 0.7500, 0.3845) x4
O (0.1741, 0.5554, 0.7989) x8

Main lines, low angle first (10° ≤ 2θ ≤ 90°):
Position (°2θ)	Rel. int.
22.5	21
23.7	15
25.5	37
30.4	17
32.7	22
32.9	100
33.6	26
47.6	22
51.1	25
59.6	30

The following is a calculated powder diffractogram of Nd4Ni3O10. It was derived from a DFT-relaxed cell (GGA+U, the Materials Project), using Cu Ka.
Intensities are scaled so that the largest is 100.

Crystal structure
Unit cell a=14.0839 b=5.5267 c=5.4456 alpha=90.00 beta=100.51 gamma=90.00
Space group P2_1/c (No. 14)
Asymmetric unit:
Nd (0.1003, 0.0160, 0.3066) x4
Nd (0.3631, 0.0072, 0.3885) x4
Ni (0.2200, 0.5043, 0.3517) x4
Ni (0.5000, 0.0000, 0.0000) x2
O (0.0646, 0.0615, 0.7701) x4
O (0.1963, 0.7394, 0.6017) x4
O (0.2375, 0.2380, 0.5975) x4
O (0.3632, 0.5827, 0.4447) x4
O (0.4746, 0.2128, 0.6929) x4

Main lines, low angle first (10° ≤ 2θ ≤ 90°):
Position (°2θ)	Rel. int.
23.2	28
25.7	21
32.2	100
32.4	62
32.5	96
32.9	57
41.8	21
46.8	60
57.7	21
57.8	23